Starting from a structure optimized by DFT (GGA-PBE), the powder X-ray diffraction pattern of Rb2YPbI6 was simulated for a wavelength of 1.5418 Å.
No peak broadening, texture or thermal motion is included.

Most intense lines, 2θ from 5° to 70°, sorted by position:
2theta  d/Å  Rel. int.
13.05  6.783  32
14.25  6.216  49
19.37  4.583  19
24.13  3.689  81
26.28  3.392  58
28.72  3.108  100
39.32  2.291  78
41.07  2.198  37
48.20  1.888  23
49.41  1.844  40

Cell and atoms:
```
Rb2YPbI6
1.0
-4.3956 4.3956 6.7831
4.3956 -4.3956 6.7831
4.3956 4.3956 -6.7831
Rb Y Pb I
2 1 1 6
Cartesian
4.3956 0.0000 3.3916 Rb
0.0000 4.3956 3.3916 Rb
0.0000 0.0000 0.0000 Y
0.0000 0.0000 6.7831 Pb
0.0000 0.0000 3.0403 I
2.1373 2.1373 0.0000 I
2.2583 -2.2583 6.7831 I
-2.2583 2.2583 6.7831 I
2.2583 2.2583 6.7831 I
0.0000 0.0000 10.5259 I
```